[1]
Computed powder X-ray diffraction pattern
Compound: Dy3AlC3
Radiation: copper Kα
Structure: a crystal structure in Alexandria, relaxed with GGA-PBE
Kinematic intensities with the Lorentz-polarization factor, no thermal factor.

Largest 10 diffraction maxima, in order of rising 2θ, 2θ = 15–90°:
- 31.73 deg, d 2.820, I = 100
- 32.66 deg, d 2.742, I = 13
- 34.26 deg, d 2.618, I = 24
- 35.05 deg, d 2.560, I = 27
- 40.79 deg, d 2.212, I = 17
- 49.82 deg, d 1.830, I = 17
- 54.29 deg, d 1.690, I = 16
- 54.86 deg, d 1.674, I = 12
- 59.77 deg, d 1.547, I = 12
- 60.80 deg, d 1.523, I = 16

Atomic structure:
```
data_Dy3AlC3
_symmetry_space_group_name_H-M 'P 1'
_symmetry_Int_Tables_number 1
_symmetry_space_group_name_Hall 'P 1'
_cell_length_a 6.853
_cell_length_b 6.853
_cell_length_c 5.120
_cell_angle_alpha 90.00
_cell_angle_beta 90.00
_cell_angle_gamma 99.61
loop_
_atom_site_label
_atom_site_fract_x
_atom_site_fract_y
_atom_site_fract_z
Dy1 0.108 0.892 0.750
Dy2 0.147 0.391 0.750
Dy3 0.391 0.147 0.250
Dy4 0.609 0.853 0.750
Dy5 0.853 0.609 0.250
Dy6 0.892 0.108 0.250
Al1 0.312 0.688 0.250
Al2 0.688 0.312 0.750
C1 0.115 0.885 0.250
C2 0.159 0.410 0.250
C3 0.410 0.159 0.750
C4 0.590 0.841 0.250
C5 0.841 0.590 0.750
C6 0.885 0.115 0.750
```


[2]
Computed powder X-ray diffraction pattern
Compound: Er3TmRu3
Radiation: copper Kα
Structure: a crystal structure in Alexandria, relaxed with GGA-PBE
Kinematic intensities with the Lorentz-polarization factor, no thermal factor.

Largest 10 diffraction maxima, in order of rising 2θ, 2θ = 15–90°:
- 26.72 deg, d 3.336, I = 13
- 32.88 deg, d 2.724, I = 56
- 38.15 deg, d 2.359, I = 100
- 42.87 deg, d 2.110, I = 12
- 51.23 deg, d 1.783, I = 14
- 55.06 deg, d 1.668, I = 11
- 58.71 deg, d 1.573, I = 30
- 65.64 deg, d 1.422, I = 12
- 68.96 deg, d 1.362, I = 17
- 72.20 deg, d 1.308, I = 18

Atomic structure:
```
data_Er3TmRu3
_symmetry_space_group_name_H-M 'P 1'
_symmetry_Int_Tables_number 1
_symmetry_space_group_name_Hall 'P 1'
_cell_length_a 5.776
_cell_length_b 5.776
_cell_length_c 5.776
_cell_angle_alpha 109.45
_cell_angle_beta 109.45
_cell_angle_gamma 109.45
loop_
_atom_site_label
_atom_site_fract_x
_atom_site_fract_y
_atom_site_fract_z
Er1 0.195 0.195 0.610
Er2 0.195 0.610 0.195
Er3 0.610 0.195 0.195
Tm1 0.780 0.780 0.780
Ru1 0.195 0.696 0.696
Ru2 0.696 0.195 0.696
Ru3 0.696 0.696 0.195
```


[3]
Computed powder X-ray diffraction pattern
Compound: ZnMo2Rh
Radiation: copper Kα
Structure: a crystal structure in Alexandria, relaxed with GGA-PBE
Kinematic intensities with the Lorentz-polarization factor, no thermal factor.

Largest 10 diffraction maxima, in order of rising 2θ, 2θ = 15–90°:
- 22.45 deg, d 3.960, I = 2
- 39.88 deg, d 2.260, I = 100
- 45.83 deg, d 1.980, I = 15
- 46.66 deg, d 1.946, I = 32
- 47.73 deg, d 1.905, I = 2
- 67.47 deg, d 1.388, I = 18
- 68.13 deg, d 1.376, I = 10
- 80.73 deg, d 1.190, I = 9
- 81.96 deg, d 1.176, I = 24
- 86.02 deg, d 1.130, I = 10

Atomic structure:
```
data_ZnMo2Rh
_symmetry_space_group_name_H-M 'P 1'
_symmetry_Int_Tables_number 1
_symmetry_space_group_name_Hall 'P 1'
_cell_length_a 2.753
_cell_length_b 2.753
_cell_length_c 7.921
_cell_angle_alpha 90.00
_cell_angle_beta 90.00
_cell_angle_gamma 90.00
loop_
_atom_site_label
_atom_site_fract_x
_atom_site_fract_y
_atom_site_fract_z
Zn1 0.000 0.000 0.000
Mo1 0.000 0.000 0.537
Mo2 0.500 0.500 0.255
Rh1 0.500 0.500 0.768
```